No. 1
Diffraction record for CsTi6Se8. The powder diffraction line list is simulated, not measured: it uses a PBE-relaxed structure and a wavelength of 1.5418 Å.
Kinematic intensities with the Lorentz-polarization factor, no thermal factor.

```
CsTi6Se8
1.0
3.596 0.000 0.000
0.001 10.055 0.000
0.003 5.025 8.713
Cs Ti Se
1 6 8
Direct
0.000 0.000 0.000
0.249 0.132 0.508
0.249 0.361 0.131
0.249 0.508 0.360
0.751 0.492 0.640
0.751 0.639 0.869
0.751 0.868 0.492
0.250 0.667 0.667
0.253 0.051 0.305
0.253 0.306 0.643
0.253 0.644 0.051
0.747 0.356 0.949
0.747 0.694 0.357
0.747 0.949 0.695
0.750 0.333 0.333
```

Principal peaks in the range 2θ = 10–90°, in order of rising 2θ:
d/Å  I (rel.)
2.925  59
2.904  100
2.773  56
2.428  81
2.061  61
1.747  49

No. 2
Diffraction record for UMo6S8. The powder diffraction line list is simulated, not measured: it uses a PBE-relaxed structure and a wavelength of 1.5418 Å.
Kinematic intensities with the Lorentz-polarization factor, no thermal factor.

```
UMo6S8
1.0
4.531 2.616 3.814
-4.531 2.616 3.814
0.000 -5.232 3.814
U Mo S
1 6 8
Direct
0.000 0.000 0.000
0.222 0.562 0.421
0.421 0.222 0.562
0.438 0.579 0.778
0.562 0.421 0.222
0.579 0.778 0.438
0.778 0.438 0.579
0.128 0.367 0.757
0.240 0.240 0.240
0.243 0.872 0.633
0.367 0.757 0.128
0.633 0.243 0.872
0.757 0.128 0.367
0.760 0.760 0.760
0.872 0.633 0.243
```

Principal peaks in the range 2θ = 10–90°, in order of rising 2θ:
d/Å  I (rel.)
4.623  100
4.531  81
2.871  94
2.138  91
2.059  76
1.948  77

No. 3
Diffraction record for Li3CuTe4O12. The powder diffraction line list is simulated, not measured: it uses a PBE-relaxed structure and a wavelength of 1.5418 Å.
Kinematic intensities with the Lorentz-polarization factor, no thermal factor.

```
Li3CuTe4O12
1.0
5.308 0.000 0.000
0.009 5.715 0.000
0.028 0.827 7.797
Li Cu Te O
3 1 4 12
Direct
0.000 0.000 0.000
0.000 0.040 0.519
0.495 0.503 0.499
0.498 0.579 0.039
0.499 0.082 0.294
0.506 0.097 0.793
0.992 0.599 0.306
0.993 0.574 0.786
0.135 0.622 0.545
0.158 0.922 0.250
0.198 0.272 0.864
0.311 0.451 0.250
0.323 0.808 0.875
0.366 0.118 0.557
0.639 0.119 0.027
0.661 0.414 0.725
0.699 0.783 0.389
0.815 0.942 0.736
0.821 0.311 0.385
0.861 0.634 0.075
```

Principal peaks in the range 2θ = 10–90°, in order of rising 2θ:
d/Å  I (rel.)
3.899  51
3.879  100
2.859  36
2.846  72
2.655  69
1.940  29

No. 4
Diffraction record for USeO. The powder diffraction line list is simulated, not measured: it uses a PBE-relaxed structure and a wavelength of 1.5418 Å.
Kinematic intensities with the Lorentz-polarization factor, no thermal factor.

```
USeO
1.0
3.863 0.000 0.000
0.000 3.863 0.000
0.000 0.000 7.098
U Se O
2 2 2
Direct
0.250 0.250 0.184
0.750 0.750 0.816
0.250 0.250 0.630
0.750 0.750 0.370
0.250 0.750 0.000
0.750 0.250 0.000
```

Principal peaks in the range 2θ = 10–90°, in order of rising 2θ:
d/Å  I (rel.)
3.393  71
2.731  78
2.613  100
2.165  30
1.931  36
1.553  42

No. 5
Diffraction record for Mn2CuSb2Pd. The powder diffraction line list is simulated, not measured: it uses a PBE-relaxed structure and a wavelength of 1.5418 Å.
Kinematic intensities with the Lorentz-polarization factor, no thermal factor.

```
Mn2CuSb2Pd
1.0
2.185 1.262 7.141
-2.185 1.262 7.141
0.000 -2.523 7.141
Mn Cu Sb Pd
2 1 2 1
Direct
0.000 0.000 0.000
0.499 0.499 0.499
0.374 0.374 0.374
0.252 0.252 0.252
0.748 0.748 0.748
0.875 0.875 0.875
```

Principal peaks in the range 2θ = 10–90°, in order of rising 2θ:
d/Å  I (rel.)
3.569  44
3.091  15
2.186  100
1.864  21
1.546  16
1.262  32

No. 6
Diffraction record for In2CuAsSe2. The powder diffraction line list is simulated, not measured: it uses a PBE-relaxed structure and a wavelength of 1.5418 Å.
Kinematic intensities with the Lorentz-polarization factor, no thermal factor.

```
In2CuAsSe2
1.0
-2.126 2.126 8.911
2.126 -2.126 8.911
2.126 2.126 -8.911
In Cu As Se
2 1 1 2
Direct
0.161 0.161 0.000
0.839 0.839 0.000
0.500 0.500 0.000
0.750 0.250 0.500
0.070 0.570 0.500
0.430 0.930 0.500
```

Principal peaks in the range 2θ = 10–90°, in order of rising 2θ:
d/Å  I (rel.)
3.458  100
2.126  26
2.113  46
1.811  31
1.795  13
1.225  15

No. 7
Diffraction record for Pr2InNi2. The powder diffraction line list is simulated, not measured: it uses a PBE-relaxed structure and a wavelength of 1.5418 Å.
Kinematic intensities with the Lorentz-polarization factor, no thermal factor.

```
Pr2InNi2
1.0
7.629 0.000 0.000
0.000 7.629 0.000
0.000 0.000 3.821
Pr In Ni
4 2 4
Direct
0.176 0.324 0.000
0.324 0.824 0.000
0.676 0.176 0.000
0.824 0.676 0.000
0.000 0.000 0.500
0.500 0.500 0.500
0.117 0.617 0.500
0.383 0.117 0.500
0.617 0.883 0.500
0.883 0.383 0.500
```

Principal peaks in the range 2θ = 10–90°, in order of rising 2θ:
d/Å  I (rel.)
2.699  80
2.545  100
2.413  46
1.910  19
1.666  21
1.498  21

No. 8
Diffraction record for Mg2NiH4. The powder diffraction line list is simulated, not measured: it uses a PBE-relaxed structure and a wavelength of 1.5418 Å.
Kinematic intensities with the Lorentz-polarization factor, no thermal factor.

```
Mg2NiH4
1.0
6.368 0.000 0.000
0.000 13.102 0.000
0.000 0.000 6.456
Mg Ni H
16 8 32
Direct
0.239 0.014 0.067
0.239 0.486 0.567
0.250 0.250 0.056
0.250 0.250 0.556
0.250 0.750 0.470
0.250 0.750 0.970
0.261 0.014 0.567
0.261 0.486 0.067
0.739 0.514 0.933
0.739 0.986 0.433
0.750 0.250 0.030
0.750 0.250 0.530
0.750 0.750 0.444
0.750 0.750 0.944
0.761 0.514 0.433
0.761 0.986 0.933
0.017 0.131 0.805
0.017 0.369 0.305
0.483 0.131 0.305
0.483 0.369 0.805
0.517 0.631 0.195
0.517 0.869 0.695
0.983 0.631 0.695
0.983 0.869 0.195
0.032 0.745 0.737
0.032 0.755 0.237
0.055 0.541 0.838
0.055 0.959 0.338
0.065 0.610 0.471
0.065 0.890 0.971
0.238 0.126 0.316
0.238 0.374 0.816
0.262 0.126 0.816
0.262 0.374 0.316
0.435 0.610 0.971
0.435 0.890 0.471
0.445 0.541 0.338
0.445 0.959 0.838
0.468 0.745 0.237
0.468 0.755 0.737
0.532 0.245 0.263
0.532 0.255 0.763
0.555 0.041 0.162
0.555 0.459 0.662
0.565 0.110 0.529
0.565 0.390 0.029
0.738 0.626 0.684
0.738 0.874 0.184
0.762 0.626 0.184
0.762 0.874 0.684
0.935 0.110 0.029
0.935 0.390 0.529
0.945 0.041 0.662
0.945 0.459 0.162
0.968 0.245 0.763
0.968 0.255 0.263
```

Principal peaks in the range 2θ = 10–90°, in order of rising 2θ:
d/Å  I (rel.)
3.728  100
2.299  26
2.283  42
2.267  27
1.967  15
1.927  14

No. 9
Diffraction record for Tm3Ga5Ni. The powder diffraction line list is simulated, not measured: it uses a PBE-relaxed structure and a wavelength of 1.5418 Å.
Kinematic intensities with the Lorentz-polarization factor, no thermal factor.

```
Tm3Ga5Ni
1.0
6.828 0.000 0.000
-3.414 5.913 0.000
0.000 0.000 4.173
Tm Ga Ni
3 5 1
Direct
0.000 0.591 0.000
0.409 0.409 0.000
0.591 0.000 0.000
0.000 0.235 0.500
0.235 0.000 0.500
0.333 0.667 0.500
0.667 0.333 0.500
0.765 0.765 0.500
0.000 0.000 0.000
```

Principal peaks in the range 2θ = 10–90°, in order of rising 2θ:
d/Å  I (rel.)
2.643  100
2.413  75
2.235  38
1.971  28
1.526  49
1.290  32

No. 10
Diffraction record for Ca2Sn2F3. The powder diffraction line list is simulated, not measured: it uses a PBE-relaxed structure and a wavelength of 1.5418 Å.
Kinematic intensities with the Lorentz-polarization factor, no thermal factor.

```
Ca2Sn2F3
1.0
6.879 -3.820 0.000
6.879 3.820 0.000
-0.619 0.000 6.507
Ca Sn F
4 4 6
Direct
0.000 0.000 0.000
0.341 0.831 0.577
0.513 0.513 0.100
0.831 0.341 0.577
0.061 0.449 0.122
0.299 0.299 0.745
0.449 0.061 0.122
0.771 0.771 0.826
0.038 0.038 0.667
0.227 0.825 0.251
0.304 0.710 0.855
0.530 0.530 0.444
0.710 0.304 0.855
0.825 0.227 0.251
```

Principal peaks in the range 2θ = 10–90°, in order of rising 2θ:
d/Å  I (rel.)
6.848  49
6.507  62
3.424  100
3.294  43
3.026  62
2.916  100

No. 11
Diffraction record for SmAu. The powder diffraction line list is simulated, not measured: it uses a PBE-relaxed structure and a wavelength of 1.5418 Å.
Kinematic intensities with the Lorentz-polarization factor, no thermal factor.

```
SmAu
1.0
7.456 0.000 0.000
0.000 4.764 0.000
0.000 0.000 5.777
Sm Au
4 4
Direct
0.188 0.250 0.149
0.312 0.750 0.649
0.688 0.250 0.351
0.812 0.750 0.851
0.042 0.250 0.656
0.458 0.750 0.156
0.542 0.250 0.844
0.958 0.750 0.344
```

Principal peaks in the range 2θ = 10–90°, in order of rising 2θ:
d/Å  I (rel.)
2.936  56
2.693  34
2.617  100
2.382  45
2.345  77
1.774  22

Which formula does entry 2 have?
UMo6S8